HfZnPd: calculated powder diffractogram (Cu Ka), based on DFT lattice parameters and positions (PBE).
No peak broadening, texture or thermal motion is included.

Top 10 peaks for 5 to 70 degrees two-theta, low angle first:
d [Å]  I (rel.)
3.957  10
3.898  22
2.303  54
2.291  100
2.273  89
2.240  43
1.949  3
1.622  16
1.606  35
1.416  10

Crystal structure
Cell lengths 4.479, 5.663, 7.914 Å; angles 90.00, 90.00, 90.00 degrees
Fractional positions:
Hf1 0.000 0.247 0.000
Hf2 0.000 0.753 0.000
Hf3 0.500 0.253 0.500
Hf4 0.500 0.747 0.500
Zn1 0.000 0.000 0.338
Zn2 0.000 0.000 0.662
Zn3 0.500 0.500 0.162
Zn4 0.500 0.500 0.838
Pd1 0.000 0.500 0.326
Pd2 0.000 0.500 0.674
Pd3 0.500 0.000 0.174
Pd4 0.500 0.000 0.826